No. 1
Calculated powder X-ray diffraction pattern of CeTe4Pd4 for a wavelength of 1.5418 Å, from the PBE geometry in Alexandria.
Lines closer than 0.1° are merged.

Cell and atoms:
```
CeTe4Pd4
1.0
4.0354 -7.3092 0.0000
4.0354 7.3092 0.0000
0.0000 0.0000 8.1632
Ce Te Pd
2 8 8
direct
0.2500 0.7500 0.7500 Ce
0.7500 0.2500 0.2500 Ce
0.0547 0.2741 0.5949 Te
0.2259 0.4453 0.0949 Te
0.2741 0.0547 0.0949 Te
0.4453 0.2259 0.5949 Te
0.5547 0.7741 0.4051 Te
0.7259 0.9453 0.9051 Te
0.7741 0.5547 0.9051 Te
0.9453 0.7259 0.4051 Te
0.0502 0.6617 0.1070 Pd
0.1617 0.5502 0.3930 Pd
0.3383 0.9498 0.3930 Pd
0.4498 0.8383 0.1070 Pd
0.5502 0.1617 0.8930 Pd
0.6617 0.0502 0.6070 Pd
0.8383 0.4498 0.6070 Pd
0.9498 0.3383 0.8930 Pd
```

The 10 most intense peaks (10 to 90 degrees two-theta), low angle first:
2θ (°)  Rel. int.
12.1  100.0
24.0  19.1
25.2  21.5
34.9  46.4
35.3  58.0
35.7  61.7
39.5  77.0
44.9  44.2
48.0  22.2
51.3  19.6

***

No. 2
Calculated powder X-ray diffraction pattern of CeTh2Pd7 for a wavelength of 1.5418 Å, from the PBE geometry in Alexandria.
Lines closer than 0.1° are merged.

Cell and atoms:
```
CeTh2Pd7
1.0
0.0000 4.3435 8.5576
2.8802 0.0000 8.5576
2.8802 4.3435 0.0000
Ce Th Pd
1 2 7
direct
0.0000 0.0000 0.0000 Ce
0.3300 0.3300 0.6700 Th
0.6700 0.6700 0.3300 Th
0.0839 0.0839 0.4161 Pd
0.2500 0.2500 0.2500 Pd
0.4161 0.4161 0.0839 Pd
0.5000 0.5000 0.5000 Pd
0.5839 0.5839 0.9161 Pd
0.7500 0.7500 0.7500 Pd
0.9161 0.9161 0.5839 Pd
```

The 10 most intense peaks (10 to 90 degrees two-theta), low angle first:
2θ (°)  Rel. int.
19.2  19.8
24.2  76.2
37.5  100.0
37.7  97.8
38.2  23.9
41.6  37.4
44.7  60.4
62.7  45.8
77.4  23.8
77.9  23.0

***

No. 3
Calculated powder X-ray diffraction pattern of CeTh4Pd15 for a wavelength of 1.5418 Å, from the PBE geometry in Alexandria.
Lines closer than 0.1° are merged.

Cell and atoms:
```
CeTh4Pd15
1.0
4.2086 0.0000 0.0000
0.0000 4.2086 0.0000
0.0000 0.0000 21.0895
Ce Th Pd
1 4 15
direct
0.0000 0.0000 0.0000 Ce
0.0000 0.0000 0.1976 Th
0.0000 0.0000 0.3993 Th
0.0000 0.0000 0.6007 Th
0.0000 0.0000 0.8024 Th
0.0000 0.5000 0.1002 Pd
0.0000 0.5000 0.2998 Pd
0.0000 0.5000 0.5000 Pd
0.0000 0.5000 0.7002 Pd
0.0000 0.5000 0.8998 Pd
0.5000 0.0000 0.1002 Pd
0.5000 0.0000 0.2998 Pd
0.5000 0.0000 0.5000 Pd
0.5000 0.0000 0.7002 Pd
0.5000 0.0000 0.8998 Pd
0.5000 0.5000 0.0000 Pd
0.5000 0.5000 0.2006 Pd
0.5000 0.5000 0.4001 Pd
0.5000 0.5000 0.5999 Pd
0.5000 0.5000 0.7994 Pd
```

The 10 most intense peaks (10 to 90 degrees two-theta), low angle first:
2θ (°)  Rel. int.
21.1  9.8
30.0  8.6
37.0  100.0
42.9  49.2
48.3  5.0
53.3  3.8
62.4  32.4
74.7  12.6
74.8  25.3
78.7  11.0